# Ho2In5I12
Theoretical X-ray powder pattern, Cu Kα X-rays. Input: the PBE geometry in Alexandria.
Intensities are scaled so that the largest is 100.

Top 10 peaks for 2θ from 10° to 90°, by angle:
| 2θ (°) | d_spacing | I/Imax |
| --- | --- | --- |
| 19.23 | 4.615 | 38.1 |
| 26.29 | 3.390 | 100.0 |
| 26.67 | 3.342 | 92.8 |
| 28.39 | 3.144 | 64.7 |
| 30.05 | 2.974 | 44.3 |
| 31.75 | 2.818 | 38.8 |
| 33.15 | 2.703 | 58.3 |
| 38.51 | 2.338 | 49.6 |
| 40.72 | 2.216 | 49.4 |
| 45.16 | 2.008 | 37.7 |

Atomic structure:
```
Ho2In5I12
1.0
9.495 -4.432 0.000
9.495 4.432 0.000
-3.706 0.000 10.177
Ho In I
2 5 12
Cartesian
9.495 2.259 0.000
9.495 -2.259 0.000
0.400 0.000 8.364
2.934 0.000 3.755
7.642 0.000 5.089
12.349 0.000 6.422
14.883 0.000 1.813
-0.595 0.000 2.076
2.958 2.311 9.284
5.480 2.156 4.410
9.803 2.156 5.767
12.325 2.311 0.893
6.420 0.000 8.209
8.863 0.000 1.968
2.958 -2.311 9.284
5.480 -2.156 4.410
9.803 -2.156 5.767
12.325 -2.311 0.893
15.879 0.000 8.101
```

***

# CoAu3
Theoretical X-ray powder pattern, Cu Kα X-rays. Input: the PBE geometry in Alexandria.
Intensities are scaled so that the largest is 100.

Top 10 peaks for 2θ from 10° to 90°, by angle:
| 2θ (°) | d_spacing | I/Imax |
| --- | --- | --- |
| 37.52 | 2.397 | 55.6 |
| 38.82 | 2.320 | 100.0 |
| 39.02 | 2.308 | 47.4 |
| 44.56 | 2.033 | 32.5 |
| 44.94 | 2.017 | 66.4 |
| 64.11 | 1.452 | 23.0 |
| 66.16 | 1.412 | 29.5 |
| 77.12 | 1.237 | 13.8 |
| 78.63 | 1.217 | 13.3 |
| 83.30 | 1.160 | 13.2 |

Atomic structure:
```
CoAu3
1.0
4.707 -1.412 0.000
4.707 1.412 0.000
-0.991 0.000 4.984
Co Au
1 3
Cartesian
0.000 0.000 0.000
1.707 0.000 3.801
4.211 0.000 2.492
6.715 0.000 1.183
```

***

# SmPuSi2
Theoretical X-ray powder pattern, Cu Kα X-rays. Input: the PBE geometry in Alexandria.
Intensities are scaled so that the largest is 100.

Top 10 peaks for 2θ from 10° to 90°, by angle:
| 2θ (°) | d_spacing | I/Imax |
| --- | --- | --- |
| 26.84 | 3.322 | 30.8 |
| 27.82 | 3.206 | 37.5 |
| 29.97 | 2.981 | 100.0 |
| 32.08 | 2.790 | 66.8 |
| 32.78 | 2.732 | 74.4 |
| 35.71 | 2.514 | 36.0 |
| 36.70 | 2.449 | 45.1 |
| 40.50 | 2.227 | 35.6 |
| 52.00 | 1.758 | 34.5 |
| 58.70 | 1.573 | 34.0 |

Atomic structure:
```
SmPuSi2
1.0
3.847 0.000 0.000
0.000 5.804 0.000
0.000 0.000 8.103
Sm Pu Si
2 2 4
Cartesian
0.000 0.811 0.000
0.000 4.993 4.052
1.923 2.092 2.902
1.923 3.712 6.953
0.000 2.180 5.228
0.000 3.624 1.177
1.923 0.757 5.774
1.923 5.047 1.722
```

***

# NaP2Ir
Theoretical X-ray powder pattern, Cu Kα X-rays. Input: the PBE geometry in Alexandria.
Intensities are scaled so that the largest is 100.

Top 10 peaks for 2θ from 10° to 90°, by angle:
| 2θ (°) | d_spacing | I/Imax |
| --- | --- | --- |
| 20.58 | 4.317 | 100.0 |
| 24.59 | 3.620 | 22.1 |
| 28.29 | 3.155 | 34.1 |
| 30.91 | 2.893 | 63.6 |
| 33.33 | 2.689 | 23.9 |
| 37.83 | 2.378 | 26.3 |
| 39.14 | 2.301 | 30.0 |
| 40.99 | 2.202 | 40.4 |
| 41.85 | 2.158 | 23.6 |
| 44.94 | 2.017 | 29.6 |

Atomic structure:
```
NaP2Ir
1.0
2.813 -3.620 0.000
2.813 3.620 0.000
-0.971 0.000 3.155
Na P Ir
1 2 1
Cartesian
0.000 0.000 0.000
1.378 1.133 2.107
3.277 1.133 1.048
2.328 -1.067 1.577
```

***

# K6SbP
Theoretical X-ray powder pattern, Cu Kα X-rays. Input: the PBE geometry in Alexandria.
Intensities are scaled so that the largest is 100.

Top 10 peaks for 2θ from 10° to 90°, by angle:
| 2θ (°) | d_spacing | I/Imax |
| --- | --- | --- |
| 10.98 | 8.059 | 31.3 |
| 15.55 | 5.698 | 100.0 |
| 18.80 | 4.721 | 34.6 |
| 21.82 | 4.074 | 31.6 |
| 26.90 | 3.314 | 47.6 |
| 27.80 | 3.209 | 64.3 |
| 29.14 | 3.065 | 99.6 |
| 31.40 | 2.849 | 58.8 |
| 36.85 | 2.439 | 58.7 |
| 53.23 | 1.721 | 28.8 |

Atomic structure:
```
K6SbP
1.0
8.059 0.000 0.000
0.000 8.059 0.000
0.000 0.000 11.651
K Sb P
12 2 2
Cartesian
1.352 1.352 2.914
1.352 6.707 8.736
2.204 2.204 6.480
2.204 5.855 5.171
2.204 2.204 11.008
2.204 5.855 0.642
5.855 2.204 0.642
5.855 5.855 11.008
5.855 2.204 5.171
5.855 5.855 6.480
6.707 1.352 8.736
6.707 6.707 2.914
4.029 4.029 2.907
4.029 4.029 8.743
0.000 0.000 0.000
0.000 0.000 5.825
```

***

# NaSrCdIn
Theoretical X-ray powder pattern, Cu Kα X-rays. Input: the PBE geometry in Alexandria.
Intensities are scaled so that the largest is 100.

Top 10 peaks for 2θ from 10° to 90°, by angle:
| 2θ (°) | d_spacing | I/Imax |
| --- | --- | --- |
| 19.58 | 4.535 | 11.7 |
| 22.73 | 3.913 | 14.3 |
| 32.17 | 2.782 | 100.0 |
| 32.36 | 2.767 | 49.2 |
| 45.87 | 1.978 | 9.1 |
| 46.41 | 1.956 | 17.6 |
| 57.24 | 1.609 | 18.4 |
| 57.60 | 1.600 | 36.0 |
| 67.31 | 1.391 | 11.1 |
| 76.16 | 1.250 | 7.7 |

Atomic structure:
```
NaSrCdIn
1.0
4.825 -2.767 0.000
4.825 2.767 0.000
-3.166 0.000 4.538
Na Sr Cd In
1 1 1 1
Cartesian
0.000 0.000 0.000
3.241 0.000 2.271
6.444 0.000 1.136
0.037 0.000 3.405
```

***

# TbSc2Ga6
Theoretical X-ray powder pattern, Cu Kα X-rays. Input: the PBE geometry in Alexandria.
Intensities are scaled so that the largest is 100.

Top 10 peaks for 2θ from 10° to 90°, by angle:
| 2θ (°) | d_spacing | I/Imax |
| --- | --- | --- |
| 13.42 | 6.600 | 25.7 |
| 29.90 | 2.988 | 10.1 |
| 35.68 | 2.516 | 100.0 |
| 41.03 | 2.200 | 72.9 |
| 54.79 | 1.676 | 10.2 |
| 55.48 | 1.656 | 27.0 |
| 70.67 | 1.333 | 27.6 |
| 71.27 | 1.323 | 24.8 |
| 74.74 | 1.270 | 11.6 |
| 88.99 | 1.100 | 7.5 |

Atomic structure:
```
TbSc2Ga6
1.0
7.621 0.000 0.000
-3.811 6.600 0.000
0.000 0.000 3.351
Tb Sc Ga
1 2 6
Cartesian
0.000 0.000 0.000
0.000 4.400 0.000
3.811 2.200 0.000
-1.284 2.224 1.676
-2.527 4.376 1.676
2.568 0.000 1.676
1.284 2.224 1.676
5.053 0.000 1.676
2.527 4.376 1.676
```

***

# CsTb4Cl12
Theoretical X-ray powder pattern, Cu Kα X-rays. Input: the PBE geometry in Alexandria.
Intensities are scaled so that the largest is 100.

Top 10 peaks for 2θ from 10° to 90°, by angle:
| 2θ (°) | d_spacing | I/Imax |
| --- | --- | --- |
| 11.94 | 7.412 | 19.8 |
| 16.92 | 5.241 | 100.0 |
| 24.01 | 3.706 | 84.3 |
| 34.22 | 2.620 | 52.4 |
| 38.41 | 2.344 | 50.8 |
| 42.24 | 2.140 | 54.0 |
| 49.17 | 1.853 | 30.2 |
| 52.37 | 1.747 | 21.7 |
| 66.79 | 1.401 | 26.1 |
| 77.23 | 1.235 | 19.5 |

Atomic structure:
```
CsTb4Cl12
1.0
-5.239 5.241 5.242
5.239 -5.241 5.242
5.239 5.241 -5.242
Cs Tb Cl
1 4 12
Cartesian
0.000 0.000 0.000
2.620 2.620 -2.621
2.620 -2.620 2.621
-2.620 2.620 2.621
2.620 2.620 2.621
5.239 3.073 -2.281
2.959 0.000 2.178
7.519 0.000 2.178
2.170 2.950 0.000
3.069 -2.290 5.242
0.000 2.168 2.962
5.239 3.073 2.281
2.170 7.531 0.000
3.069 2.290 5.242
-2.280 5.241 3.064
2.280 5.241 3.064
0.000 2.168 7.523
```